# Li2ScMoO6
Computed PXRD pattern, Cu Ka. Input: the PBE+U geometry in Alexandria.

The 8 most intense peaks (2θ from 10° to 90°), in order of rising 2θ:
- hkl 0 1 1, 20.3°, intensity 36
- hkl 0 0 2, 23.2°, intensity 61
- hkl 1 1 -1, 23.7°, intensity 100
- hkl 1 1 -3, 33.4°, intensity 53
- hkl 0 2 0, 33.7°, intensity 22
- hkl 2 2 -2, 48.5°, intensity 20
- hkl 1 3 -1, 54.5°, intensity 24
- hkl 1 3 -3, 60.0°, intensity 18

Structural model:
Cell lengths 5.2971, 5.3261, 9.3178 Å; angles 90.00, 124.47, 90.00 degrees
Atoms (fractional coordinates):
Li 0.2178 0.0273 0.2436
Li 0.2178 0.4727 0.7436
Li 0.7822 0.5273 0.2564
Li 0.7822 0.9727 0.7564
Sc 0.0000 0.0000 0.5000
Sc 0.0000 0.5000 0.0000
Mo 0.5000 0.0000 0.0000
Mo 0.5000 0.5000 0.5000
O 0.1605 0.0564 0.7607
O 0.1605 0.4436 0.2607
O 0.2297 0.6544 0.5502
O 0.2297 0.8456 0.0502
O 0.4151 0.1715 0.5608
O 0.4151 0.3285 0.0608
O 0.5849 0.6715 0.9392
O 0.5849 0.8285 0.4392
O 0.7703 0.1544 0.9498
O 0.7703 0.3456 0.4498
O 0.8395 0.5564 0.7393
O 0.8395 0.9436 0.2393